For Ac2Sn5Ir3, a DFT-relaxed cell (GGA-PBE, Alexandria) gives the computed XRD peak list in this record (CuKα).
Kinematic intensities with the Lorentz-polarization factor, no thermal factor.

Atomic structure:
a b c (Å): 11.2694 13.0720 6.5279
angles (deg): 90.00 90.00 90.00
Space group Ibam (No. 72)
Unique sites:
1 Ac 0.2298 0.1398 0.0000 (multiplicity 8)
2 Sn 0.0000 0.0000 0.2500 (multiplicity 4)
3 Sn 0.0000 0.2706 0.2500 (multiplicity 8)
4 Sn 0.1598 0.4076 0.0000 (multiplicity 8)
5 Ir 0.0000 0.5000 0.2500 (multiplicity 4)
6 Ir 0.1135 0.1391 0.5000 (multiplicity 8)

Top 10 peaks for 15 to 90 degrees two-theta, by intensity:
d [Å], Position (°2θ), Rel. int.
2.826, 31.7, 100.0
2.309, 39.0, 62.7
2.914, 30.7, 59.7
1.810, 50.4, 26.1
2.026, 44.7, 20.5
2.133, 42.4, 19.4
1.633, 56.4, 19.2
1.413, 66.1, 16.0
3.266, 27.3, 15.1
1.628, 56.5, 12.6


For NaH7Pt4, a DFT-relaxed cell (GGA-PBE, Alexandria) gives the computed XRD peak list in this record (CuKα).
Kinematic intensities with the Lorentz-polarization factor, no thermal factor.

Atomic structure:
a b c (Å): 9.0752 5.5670 5.0756
angles (deg): 90.00 90.00 90.00
Space group Pmn2_1 (No. 31)
Unique sites:
1 Na 0.0000 0.2347 0.0000 (multiplicity 2)
2 H 0.0000 0.6199 0.4867 (multiplicity 2)
3 H 0.1307 0.8790 0.7582 (multiplicity 4)
4 H 0.1564 0.3663 0.3731 (multiplicity 4)
5 H 0.2183 0.7824 0.3234 (multiplicity 4)
6 Pt 0.1770 0.5954 0.6105 (multiplicity 4)
7 Pt 0.2035 0.0931 0.5310 (multiplicity 4)

Top 10 peaks for 15 to 90 degrees two-theta, by intensity:
d [Å], Position (°2θ), Rel. int.
4.538, 19.6, 100.0
2.599, 34.5, 78.7
2.441, 36.8, 68.2
2.149, 42.0, 50.6
4.430, 20.0, 43.0
2.538, 35.4, 37.9
2.048, 44.2, 33.0
1.594, 57.9, 26.1
2.215, 40.7, 24.2
1.709, 53.6, 20.0


For LiCe2Au, a DFT-relaxed cell (GGA-PBE, Alexandria) gives the computed XRD peak list in this record (CuKα).
Kinematic intensities with the Lorentz-polarization factor, no thermal factor.

Atomic structure:
a b c (Å): 3.9161 3.9161 6.7101
angles (deg): 90.00 90.00 90.00
Space group P4/mmm (No. 123)
Unique sites:
1 Li 0.0000 0.0000 0.0000 (multiplicity 1)
2 Ce 0.5000 0.5000 0.2827 (multiplicity 2)
3 Au 0.0000 0.0000 0.5000 (multiplicity 1)

Top 10 peaks for 15 to 90 degrees two-theta, by intensity:
d [Å], Position (°2θ), Rel. int.
2.548, 35.2, 100.0
2.769, 32.3, 69.3
1.553, 59.5, 44.1
2.560, 35.1, 30.1
1.942, 46.8, 27.0
1.958, 46.4, 25.6
3.382, 26.4, 18.3
1.379, 68.0, 17.8
1.217, 78.6, 16.0
1.435, 65.0, 12.5


For Pm3As2N, a DFT-relaxed cell (GGA-PBE, Alexandria) gives the computed XRD peak list in this record (CuKα).
Kinematic intensities with the Lorentz-polarization factor, no thermal factor.

Atomic structure:
a b c (Å): 12.8161 5.9743 7.8640
angles (deg): 90.00 107.88 90.00
Space group C2/c (No. 15)
Unique sites:
1 Pm 0.0000 0.0541 0.2500 (multiplicity 4)
2 Pm 0.1447 0.4977 0.5741 (multiplicity 8)
3 As 0.1733 0.0055 0.0857 (multiplicity 8)
4 N 0.0000 0.4454 0.2500 (multiplicity 4)

Top 10 peaks for 15 to 90 degrees two-theta, by intensity:
d [Å], Position (°2θ), Rel. int.
2.826, 31.7, 100.0
2.053, 44.1, 69.9
2.987, 29.9, 56.0
3.284, 27.1, 30.1
3.361, 26.5, 26.4
1.966, 46.2, 20.0
1.642, 56.0, 18.8
2.033, 44.6, 14.7
1.681, 54.6, 13.9
2.892, 30.9, 12.5


For Sm4Dy, a DFT-relaxed cell (GGA-PBE, Alexandria) gives the computed XRD peak list in this record (CuKα).
Kinematic intensities with the Lorentz-polarization factor, no thermal factor.

Atomic structure:
a b c (Å): 3.6100 3.6100 25.5556
angles (deg): 90.00 90.00 90.00
Space group I4/mmm (No. 139)
Unique sites:
1 Sm 0.0000 0.0000 0.0988 (multiplicity 4)
2 Sm 0.0000 0.0000 0.3005 (multiplicity 4)
3 Dy 0.0000 0.0000 0.5000 (multiplicity 2)

Top 9 peaks for 15 to 90 degrees two-theta, by intensity:
d [Å], Position (°2θ), Rel. int.
2.949, 30.3, 100.0
2.554, 35.1, 50.6
1.540, 60.1, 43.0
1.806, 50.5, 36.2
1.172, 82.3, 17.6
1.474, 63.1, 12.4
1.142, 84.9, 10.9
1.277, 74.3, 5.7
1.142, 85.0, 5.5


For NbNiPd, a DFT-relaxed cell (GGA-PBE, Alexandria) gives the computed XRD peak list in this record (CuKα).
Kinematic intensities with the Lorentz-polarization factor, no thermal factor.

Atomic structure:
a b c (Å): 4.7619 8.2040 4.7652
angles (deg): 90.00 108.59 90.00
Space group C2/c (No. 15)
Unique sites:
1 Nb 0.0000 0.2421 0.2500 (multiplicity 4)
2 Ni 0.0000 0.0818 0.7500 (multiplicity 4)
3 Pd 0.0000 0.4187 0.7500 (multiplicity 4)

Top 10 peaks for 15 to 90 degrees two-theta, by intensity:
d [Å], Position (°2θ), Rel. int.
2.257, 39.9, 100.0
2.233, 40.4, 95.9
1.950, 46.6, 63.0
1.373, 68.3, 38.3
1.170, 82.5, 33.2
1.934, 47.0, 31.0
1.180, 81.6, 23.3
1.166, 82.8, 11.1
1.129, 86.2, 10.2
1.390, 67.4, 10.1


For SmGa2Cl5, a DFT-relaxed cell (GGA-PBE, Alexandria) gives the computed XRD peak list in this record (CuKα).
Kinematic intensities with the Lorentz-polarization factor, no thermal factor.

Atomic structure:
a b c (Å): 15.8786 7.4629 10.2791
angles (deg): 90.00 117.80 90.00
Space group Cc (No. 9)
Unique sites:
1 Sm 0.0000 0.0001 0.0000 (multiplicity 4)
2 Ga 0.1276 0.4720 0.2377 (multiplicity 4)
3 Ga 0.3718 0.0281 0.7628 (multiplicity 4)
4 Cl 0.0001 0.1403 0.7501 (multiplicity 4)
5 Cl 0.0699 0.3161 0.4650 (multiplicity 4)
6 Cl 0.1741 0.1450 0.1631 (multiplicity 4)
7 Cl 0.3258 0.3551 0.8375 (multiplicity 4)
8 Cl 0.4300 0.1840 0.5353 (multiplicity 4)

Top 10 peaks for 15 to 90 degrees two-theta, by intensity:
d [Å], Position (°2θ), Rel. int.
4.196, 21.2, 100.0
3.966, 22.4, 97.2
5.035, 17.6, 91.9
2.646, 33.9, 72.0
2.429, 37.0, 69.1
2.629, 34.1, 62.8
2.087, 43.4, 55.2
3.200, 27.9, 37.1
2.170, 41.6, 37.0
3.731, 23.8, 35.7


What did the fifth record say?
For Sm4Dy, a DFT-relaxed cell (GGA-PBE, Alexandria) gives the computed XRD peak list in this record (CuKα).
Kinematic intensities with the Lorentz-polarization factor, no thermal factor.

Atomic structure:
a b c (Å): 3.6100 3.6100 25.5556
angles (deg): 90.00 90.00 90.00
Space group I4/mmm (No. 139)
Unique sites:
1 Sm 0.0000 0.0000 0.0988 (multiplicity 4)
2 Sm 0.0000 0.0000 0.3005 (multiplicity 4)
3 Dy 0.0000 0.0000 0.5000 (multiplicity 2)

Top 9 peaks for 15 to 90 degrees two-theta, by intensity:
d [Å], Position (°2θ), Rel. int.
2.949, 30.3, 100.0
2.554, 35.1, 50.6
1.540, 60.1, 43.0
1.806, 50.5, 36.2
1.172, 82.3, 17.6
1.474, 63.1, 12.4
1.142, 84.9, 10.9
1.277, 74.3, 5.7
1.142, 85.0, 5.5